Simulated X-ray diffraction stick pattern
Compound: Rb3SbF6
Radiation: Cu Kα
Structure: a cell relaxed with GGA-PBE

Principal peaks in the range 2θ from 5° to 70°, by angle:
d [Å]	Position (°2θ)	I/Imax
5.628	15.75	5
4.874	18.20	6
3.447	25.85	100
2.814	31.80	2
2.437	36.88	40
2.180	41.42	2
1.990	45.59	41
1.723	53.15	25
1.541	60.02	20
1.407	66.45	8

Structural model:
abc: 9.7482 9.7482 9.7482
angles: 90.00 90.00 90.00
Space group Fm-3m (No. 225)
One atom of each set of equivalent atoms:
1 Rb 0.0000 0.0000 0.0000
2 Rb 0.2500 0.2500 0.2500
3 Sb 0.0000 0.0000 0.5000
4 F 0.0000 0.0000 0.2740